1.
LiTmPd2: simulated powder diffractogram (Cu Kα (λ = 1.5418 Å)), based on the PBE geometry in the Materials Project.

Principal peaks in the range 10° ≤ 2θ ≤ 80°, by angle:
2θ/deg, d_spacing, I_rel
23.4, 3.800, 43
27.1, 3.291, 2
38.7, 2.327, 100
45.7, 1.984, 22
55.9, 1.645, 17
61.4, 1.510, 9
70.0, 1.343, 34
75.0, 1.267, 7

Structural model:
Lattice parameters (Å, degrees): 4.654 4.654 4.654 60.00 60.00 60.00
Fractional coordinates of all 4 atoms:
Li: 0.000 0.000 0.000
Tm: 0.500 0.500 0.500
Pd: 0.250 0.250 0.250
Pd: 0.750 0.750 0.750

2.
LiZn2Pd: simulated powder diffractogram (Cu Kα (λ = 1.5418 Å)), based on the PBE geometry in the Materials Project.

Principal peaks in the range 10° ≤ 2θ ≤ 80°, by angle:
2θ/deg, d_spacing, I_rel
25.2, 3.534, 42
29.2, 3.060, 2
41.7, 2.164, 100
49.4, 1.845, 20
60.5, 1.530, 16
66.6, 1.404, 8
76.2, 1.249, 31

Structural model:
Lattice parameters (Å, degrees): 4.328 4.328 4.328 60.00 60.00 60.00
Fractional coordinates of all 4 atoms:
Li: 0.000 0.000 0.000
Zn: 0.250 0.250 0.250
Zn: 0.750 0.750 0.750
Pd: 0.500 0.500 0.500

3.
LiZrPd2: simulated powder diffractogram (Cu Kα (λ = 1.5418 Å)), based on the PBE geometry in the Materials Project.

Principal peaks in the range 10° ≤ 2θ ≤ 80°, by angle:
2θ/deg, d_spacing, I_rel
23.9, 3.722, 20
27.7, 3.223, 19
39.5, 2.279, 100
46.7, 1.944, 10
48.9, 1.861, 5
57.2, 1.612, 17
62.8, 1.479, 4
64.7, 1.442, 7
71.7, 1.316, 33
76.8, 1.241, 3

Structural model:
Lattice parameters (Å, degrees): 4.559 4.559 4.559 60.00 60.00 60.00
Fractional coordinates of all 4 atoms:
Li: 0.000 0.000 0.000
Zr: 0.500 0.500 0.500
Pd: 0.250 0.250 0.250
Pd: 0.750 0.750 0.750

4.
LiPm2Pt: simulated powder diffractogram (Cu Kα (λ = 1.5418 Å)), based on the PBE geometry in the Materials Project.

Principal peaks in the range 10° ≤ 2θ ≤ 80°, by angle:
2θ/deg, d_spacing, I_rel
21.3, 4.180, 34
24.6, 3.620, 5
35.1, 2.560, 100
41.4, 2.183, 18
50.4, 1.810, 18
55.3, 1.661, 8
62.9, 1.478, 37
67.2, 1.393, 6
74.1, 1.280, 11
78.1, 1.224, 6

Structural model:
Lattice parameters (Å, degrees): 5.120 5.120 5.120 60.00 60.00 60.00
Fractional coordinates of all 4 atoms:
Li: 0.000 0.000 0.000
Pm: 0.250 0.250 0.250
Pm: 0.750 0.750 0.750
Pt: 0.500 0.500 0.500

5.
LiPm2Ru: simulated powder diffractogram (Cu Kα (λ = 1.5418 Å)), based on the PBE geometry in the Materials Project.

Principal peaks in the range 10° ≤ 2θ ≤ 80°, by angle:
2θ/deg, d_spacing, I_rel
21.7, 4.097, 15
25.1, 3.548, 26
35.8, 2.509, 100
42.2, 2.139, 7
44.2, 2.048, 8
51.5, 1.774, 18
56.5, 1.628, 3
58.1, 1.587, 11
64.3, 1.448, 36
75.8, 1.254, 11

Structural model:
Lattice parameters (Å, degrees): 5.017 5.017 5.017 60.00 60.00 60.00
Fractional coordinates of all 4 atoms:
Li: 0.000 0.000 0.000
Pm: 0.250 0.250 0.250
Pm: 0.750 0.750 0.750
Ru: 0.500 0.500 0.500

6.
LiPm2Sn: simulated powder diffractogram (Cu Kα (λ = 1.5418 Å)), based on the PBE geometry in the Materials Project.

Principal peaks in the range 10° ≤ 2θ ≤ 80°, by angle:
2θ/deg, d_spacing, I_rel
20.3, 4.379, 17
23.5, 3.792, 20
33.4, 2.681, 100
39.4, 2.287, 10
41.2, 2.189, 6
48.0, 1.896, 18
52.6, 1.740, 4
54.1, 1.696, 8
59.7, 1.548, 38
70.2, 1.341, 12

Structural model:
Lattice parameters (Å, degrees): 5.363 5.363 5.363 60.00 60.00 60.00
Fractional coordinates of all 4 atoms:
Li: 0.000 0.000 0.000
Pm: 0.250 0.250 0.250
Pm: 0.750 0.750 0.750
Sn: 0.500 0.500 0.500

7.
Li2PmSn: simulated powder diffractogram (Cu Kα (λ = 1.5418 Å)), based on the PBE geometry in the Materials Project.

Principal peaks in the range 10° ≤ 2θ ≤ 80°, by angle:
2θ/deg, d_spacing, I_rel
22.3, 3.979, 2
25.9, 3.446, 100
36.9, 2.437, 93
43.6, 2.078, 1
45.6, 1.989, 29
53.2, 1.723, 16
60.0, 1.541, 39
66.5, 1.407, 34
78.5, 1.218, 11

Structural model:
Lattice parameters (Å, degrees): 4.873 4.873 4.873 60.00 60.00 60.00
Fractional coordinates of all 4 atoms:
Li: 0.250 0.250 0.250
Li: 0.750 0.750 0.750
Pm: 0.000 0.000 0.000
Sn: 0.500 0.500 0.500

8.
Li2PmTl: simulated powder diffractogram (Cu Kα (λ = 1.5418 Å)), based on the PBE geometry in the Materials Project.

Principal peaks in the range 10° ≤ 2θ ≤ 80°, by angle:
2θ/deg, d_spacing, I_rel
22.0, 4.033, 4
25.5, 3.493, 100
36.4, 2.470, 90
42.9, 2.106, 3
45.0, 2.016, 30
52.4, 1.746, 16
57.5, 1.603, 1
59.2, 1.562, 40
65.5, 1.426, 33
77.3, 1.235, 10

Structural model:
Lattice parameters (Å, degrees): 4.939 4.939 4.939 60.00 60.00 60.00
Fractional coordinates of all 4 atoms:
Li: 0.250 0.250 0.250
Li: 0.750 0.750 0.750
Pm: 0.000 0.000 0.000
Tl: 0.500 0.500 0.500

9.
LiPmTl2: simulated powder diffractogram (Cu Kα (λ = 1.5418 Å)), based on the PBE geometry in the Materials Project.

Principal peaks in the range 10° ≤ 2θ ≤ 80°, by angle:
2θ/deg, d_spacing, I_rel
20.6, 4.311, 16
23.8, 3.734, 24
34.0, 2.640, 100
40.0, 2.251, 8
41.9, 2.156, 8
48.8, 1.867, 18
55.0, 1.670, 11
60.8, 1.524, 38
71.5, 1.320, 12
76.5, 1.245, 5

Structural model:
Lattice parameters (Å, degrees): 5.280 5.280 5.280 60.00 60.00 60.00
Fractional coordinates of all 4 atoms:
Li: 0.000 0.000 0.000
Pm: 0.500 0.500 0.500
Tl: 0.250 0.250 0.250
Tl: 0.750 0.750 0.750

10.
LiPmZn2: simulated powder diffractogram (Cu Kα (λ = 1.5418 Å)), based on the PBE geometry in the Materials Project.

Principal peaks in the range 10° ≤ 2θ ≤ 80°, by angle:
2θ/deg, d_spacing, I_rel
22.4, 3.973, 56
36.9, 2.433, 100
43.6, 2.075, 29
53.2, 1.720, 17
58.5, 1.579, 12
66.6, 1.405, 34
71.2, 1.324, 9
78.7, 1.216, 10

Structural model:
Lattice parameters (Å, degrees): 4.866 4.866 4.866 60.00 60.00 60.00
Fractional coordinates of all 4 atoms:
Li: 0.000 0.000 0.000
Pm: 0.500 0.500 0.500
Zn: 0.250 0.250 0.250
Zn: 0.750 0.750 0.750

11.
LiPr3: simulated powder diffractogram (Cu Kα (λ = 1.5418 Å)), based on the PBE geometry in the Materials Project.

Principal peaks in the range 10° ≤ 2θ ≤ 80°, by angle:
2θ/deg, d_spacing, I_rel
17.5, 5.070, 29
24.8, 3.585, 26
30.5, 2.927, 100
35.4, 2.535, 51
39.8, 2.267, 15
43.7, 2.070, 11
50.9, 1.792, 36
54.3, 1.690, 7
60.6, 1.529, 43
63.6, 1.463, 12

Structural model:
Lattice parameters (Å, degrees): 5.070 5.070 5.070 90.00 90.00 90.00
Fractional coordinates of all 4 atoms:
Li: 0.000 0.000 0.000
Pr: 0.000 0.500 0.500
Pr: 0.500 0.000 0.500
Pr: 0.500 0.500 0.000

12.
Li3Pr: simulated powder diffractogram (Cu Kα (λ = 1.5418 Å)), based on the PBE geometry in the Materials Project.

Principal peaks in the range 10° ≤ 2θ ≤ 80°, by angle:
2θ/deg, d_spacing, I_rel
20.9, 4.248, 100
24.2, 3.679, 53
34.5, 2.601, 56
40.7, 2.218, 54
42.6, 2.124, 16
54.4, 1.688, 23
55.9, 1.645, 21
61.8, 1.502, 21
66.0, 1.416, 17
76.6, 1.244, 17

Structural model:
Lattice parameters (Å, degrees): 5.202 5.202 5.202 60.00 60.00 60.00
Fractional coordinates of all 4 atoms:
Li: 0.000 0.000 0.000
Li: 0.250 0.250 0.250
Li: 0.750 0.750 0.750
Pr: 0.500 0.500 0.500

13.
LiPr2Rh: simulated powder diffractogram (Cu Kα (λ = 1.5418 Å)), based on the PBE geometry in the Materials Project.

Principal peaks in the range 10° ≤ 2θ ≤ 80°, by angle:
2θ/deg, d_spacing, I_rel
21.1, 4.206, 16
24.4, 3.642, 24
34.8, 2.575, 100
41.1, 2.196, 8
43.0, 2.103, 7
50.1, 1.821, 18
56.5, 1.629, 10
62.5, 1.487, 36
73.5, 1.288, 11
78.8, 1.214, 5

Structural model:
Lattice parameters (Å, degrees): 5.151 5.151 5.151 60.00 60.00 60.00
Fractional coordinates of all 4 atoms:
Li: 0.000 0.000 0.000
Pr: 0.250 0.250 0.250
Pr: 0.750 0.750 0.750
Rh: 0.500 0.500 0.500

14.
LiPr2Ru: simulated powder diffractogram (Cu Kα (λ = 1.5418 Å)), based on the PBE geometry in the Materials Project.

Principal peaks in the range 10° ≤ 2θ ≤ 80°, by angle:
2θ/deg, d_spacing, I_rel
21.3, 4.166, 15
24.7, 3.608, 25
35.2, 2.551, 100
41.5, 2.176, 8
43.4, 2.083, 7
50.6, 1.804, 18
57.1, 1.613, 10
63.1, 1.473, 36
74.4, 1.276, 11
79.7, 1.203, 5

Structural model:
Lattice parameters (Å, degrees): 5.102 5.102 5.102 60.00 60.00 60.00
Fractional coordinates of all 4 atoms:
Li: 0.000 0.000 0.000
Pr: 0.250 0.250 0.250
Pr: 0.750 0.750 0.750
Ru: 0.500 0.500 0.500

15.
LiPrS2: simulated powder diffractogram (Cu Kα (λ = 1.5418 Å)), based on the PBE geometry in the Materials Project.

Principal peaks in the range 10° ≤ 2θ ≤ 80°, by angle:
2θ/deg, d_spacing, I_rel
17.4, 5.092, 100
27.1, 3.291, 23
28.1, 3.174, 32
31.2, 2.869, 30
31.5, 2.841, 58
36.2, 2.481, 33
42.7, 2.117, 21
44.9, 2.019, 42
45.1, 2.009, 21
55.9, 1.646, 21

Structural model:
Lattice parameters (Å, degrees): 5.681 5.684 7.005 113.93 113.92 90.01
Fractional coordinates of all 8 atoms:
Li: 0.000 0.000 0.000
Li: 0.248 0.748 0.496
Pr: 0.507 0.503 0.006
Pr: 0.749 0.245 0.490
S: 0.006 0.511 0.004
S: 0.250 0.255 0.492
S: 0.505 0.998 0.992
S: 0.748 0.744 0.486

16.
LiPrS2: simulated powder diffractogram (Cu Kα (λ = 1.5418 Å)), based on the PBE geometry in the Materials Project.

Principal peaks in the range 10° ≤ 2θ ≤ 80°, by angle:
2θ/deg, d_spacing, I_rel
17.4, 5.092, 100
27.1, 3.291, 23
28.1, 3.174, 31
31.2, 2.869, 30
31.5, 2.841, 57
36.2, 2.481, 32
42.7, 2.117, 20
44.9, 2.019, 41
45.1, 2.009, 20
55.9, 1.646, 21

Structural model:
Lattice parameters (Å, degrees): 5.681 5.684 7.003 113.94 113.88 90.01
Fractional coordinates of all 8 atoms:
Li: 0.000 0.000 0.000
Li: 0.242 0.748 0.489
Pr: 0.501 0.503 0.999
Pr: 0.752 0.253 0.499
S: 0.001 0.511 0.997
S: 0.254 0.263 0.501
S: 0.505 0.006 0.003
S: 0.755 0.753 0.496